Diffraction record for CsSbPd. The X-ray diffraction stick pattern is calculated, not measured: it uses a cell relaxed with GGA-PBE and Cu Kα (weighted mean of Kα1 and Kα2).
Lines closer than 0.1° are merged.

Structure:
a b c (Å): 4.893 4.893 8.756
angles (deg): 92.00 92.00 94.38
Fractional positions:
Cs (0.239, 0.239, 0.335)
Cs (0.761, 0.761, 0.665)
Sb (0.292, 0.292, 0.878)
Sb (0.708, 0.708, 0.122)
Pd (0.205, 0.795, 0.000)
Pd (0.795, 0.205, 0.000)

Top 10 peaks for 2θ from 5° to 70°, most intense first:
10.12°, intensity 100; 27.92°, intensity 73; 26.87°, intensity 68; 36.87°, intensity 56; 48.74°, intensity 35; 44.96°, intensity 30; 24.80°, intensity 19; 32.27°, intensity 17; 33.02°, intensity 16; 46.77°, intensity 16

=====

Diffraction record for PrSm12Al3. The X-ray diffraction stick pattern is calculated, not measured: it uses a cell relaxed with GGA-PBE and Cu Kα (weighted mean of Kα1 and Kα2).
Lines closer than 0.1° are merged.

Structure:
a b c (Å): 4.887 4.887 20.047
angles (deg): 90.00 90.00 90.00
Fractional positions:
Pr (0.000, 0.000, 0.000)
Sm (0.000, 0.500, 0.137)
Sm (0.000, 0.500, 0.379)
Sm (0.000, 0.500, 0.621)
Sm (0.000, 0.500, 0.863)
Sm (0.500, 0.000, 0.137)
Sm (0.500, 0.000, 0.379)
Sm (0.500, 0.000, 0.621)
Sm (0.500, 0.000, 0.863)
Sm (0.500, 0.500, 0.000)
Sm (0.500, 0.500, 0.260)
Sm (0.500, 0.500, 0.500)
Sm (0.500, 0.500, 0.740)
Al (0.000, 0.000, 0.259)
Al (0.000, 0.000, 0.500)
Al (0.000, 0.000, 0.741)

Top 10 peaks for 2θ from 5° to 70°, most intense first:
31.45°, intensity 100; 36.78°, intensity 34; 62.94°, intensity 27; 52.29°, intensity 21; 35.83°, intensity 15; 53.00°, intensity 12; 61.66°, intensity 11; 65.63°, intensity 11; 18.15°, intensity 7; 25.46°, intensity 6

=====

Diffraction record for La2ZrTc. The X-ray diffraction stick pattern is calculated, not measured: it uses a cell relaxed with GGA-PBE and Cu Kα (weighted mean of Kα1 and Kα2).
Lines closer than 0.1° are merged.

Structure:
a b c (Å): 3.449 3.449 8.990
angles (deg): 90.00 90.00 90.00
Fractional positions:
La (0.000, 0.000, 0.000)
La (0.500, 0.500, 0.350)
Zr (0.500, 0.500, 0.720)
Tc (0.000, 0.000, 0.564)

Top 10 peaks for 2θ from 5° to 70°, most intense first:
32.73°, intensity 100; 36.86°, intensity 56; 63.80°, intensity 28; 27.71°, intensity 25; 39.85°, intensity 21; 53.11°, intensity 19; 48.11°, intensity 19; 29.81°, intensity 18; 9.84°, intensity 11; 57.83°, intensity 10

=====

Diffraction record for DyHgBr3. The X-ray diffraction stick pattern is calculated, not measured: it uses a cell relaxed with GGA-PBE and Cu Kα (weighted mean of Kα1 and Kα2).
Lines closer than 0.1° are merged.

Structure:
a b c (Å): 7.430 7.430 7.749
angles (deg): 105.78 105.78 66.91
Fractional positions:
Dy (0.183, 0.183, 0.017)
Dy (0.817, 0.817, 0.983)
Hg (0.477, 0.477, 0.200)
Hg (0.523, 0.523, 0.800)
Br (0.029, 0.462, 0.770)
Br (0.033, 0.033, 0.241)
Br (0.462, 0.029, 0.770)
Br (0.538, 0.971, 0.230)
Br (0.967, 0.967, 0.759)
Br (0.971, 0.538, 0.230)

Top 10 peaks for 2θ from 5° to 70°, most intense first:
12.08°, intensity 100; 32.64°, intensity 74; 26.55°, intensity 53; 39.65°, intensity 50; 31.22°, intensity 47; 25.25°, intensity 44; 21.70°, intensity 37; 32.31°, intensity 34; 24.91°, intensity 27; 30.51°, intensity 26

=====

Diffraction record for Rb4Zr3Te16. The X-ray diffraction stick pattern is calculated, not measured: it uses a cell relaxed with GGA-PBE and Cu Kα (weighted mean of Kα1 and Kα2).
Lines closer than 0.1° are merged.

Structure:
a b c (Å): 11.380 11.380 15.578
angles (deg): 96.22 96.22 115.53
Fractional positions:
Rb (0.042, 0.745, 0.566)
Rb (0.246, 0.517, 0.126)
Rb (0.255, 0.958, 0.934)
Rb (0.483, 0.754, 0.374)
Rb (0.517, 0.246, 0.626)
Rb (0.745, 0.042, 0.066)
Rb (0.754, 0.483, 0.874)
Rb (0.958, 0.255, 0.434)
Zr (0.061, 0.296, 0.771)
Zr (0.296, 0.061, 0.271)
Zr (0.387, 0.613, 0.750)
Zr (0.613, 0.387, 0.250)
Zr (0.704, 0.939, 0.729)
Zr (0.939, 0.704, 0.229)
Te (0.035, 0.671, 0.062)
Te (0.056, 0.921, 0.127)
Te (0.079, 0.944, 0.373)
Te (0.097, 0.612, 0.339)
Te (0.119, 0.582, 0.784)
Te (0.150, 0.224, 0.243)
Te (0.224, 0.150, 0.743)
Te (0.250, 0.355, 0.631)
Te (0.304, 0.604, 0.560)
Te (0.329, 0.965, 0.438)
Te (0.336, 0.417, 0.871)
Te (0.355, 0.250, 0.131)
Te (0.388, 0.903, 0.161)
Te (0.396, 0.696, 0.940)
Te (0.417, 0.336, 0.371)
Te (0.418, 0.881, 0.716)
Te (0.582, 0.119, 0.284)
Te (0.583, 0.664, 0.629)
Te (0.604, 0.304, 0.060)
Te (0.612, 0.097, 0.839)
Te (0.645, 0.750, 0.869)
Te (0.664, 0.583, 0.129)
Te (0.671, 0.035, 0.562)
Te (0.696, 0.396, 0.440)
Te (0.750, 0.645, 0.369)
Te (0.776, 0.850, 0.257)
Te (0.850, 0.776, 0.757)
Te (0.881, 0.418, 0.216)
Te (0.903, 0.388, 0.661)
Te (0.921, 0.056, 0.627)
Te (0.944, 0.079, 0.873)
Te (0.965, 0.329, 0.938)

Top 10 peaks for 2θ from 5° to 70°, most intense first:
10.87°, intensity 100; 25.10°, intensity 71; 32.11°, intensity 54; 36.15°, intensity 38; 29.39°, intensity 34; 27.85°, intensity 32; 33.01°, intensity 28; 11.60°, intensity 26; 34.82°, intensity 24; 30.24°, intensity 21

=====

Diffraction record for Tb4SnTe2S. The X-ray diffraction stick pattern is calculated, not measured: it uses a cell relaxed with GGA-PBE and Cu Kα (weighted mean of Kα1 and Kα2).
Lines closer than 0.1° are merged.

Structure:
a b c (Å): 8.579 8.579 8.579
angles (deg): 120.51 119.51 89.98
Fractional positions:
Tb (0.263, 0.255, 0.493)
Tb (0.263, 0.770, 0.007)
Tb (0.273, 0.246, 0.027)
Tb (0.281, 0.754, 0.527)
Tb (0.719, 0.246, 0.473)
Tb (0.727, 0.754, 0.973)
Tb (0.737, 0.230, 0.993)
Tb (0.737, 0.745, 0.507)
Sn (0.000, 0.000, 0.000)
Sn (0.500, 0.000, 0.500)
Te (0.000, 0.000, 0.500)
Te (0.000, 0.500, 0.000)
Te (0.000, 0.500, 0.500)
Te (0.500, 0.500, 0.000)
S (0.500, 0.000, 0.000)
S (0.500, 0.500, 0.500)

Top 10 peaks for 2θ from 5° to 70°, most intense first:
29.45°, intensity 100; 42.14°, intensity 49; 69.28°, intensity 20; 52.53°, intensity 13; 42.48°, intensity 13; 51.96°, intensity 12; 41.81°, intensity 12; 61.12°, intensity 11; 69.77°, intensity 6; 32.24°, intensity 5